This entry pairs a crystal structure of CsMg3Hg9 with its calculated powder X-ray diffraction pattern. Radiation: Cu Kα. Structure: the GGA-PBE geometry in Alexandria.
Peak positions follow from Bragg's law for the DFT cell and can differ from measured ones.

Largest 6 diffraction maxima, sorted by position, 2θ = 10–90°:
28.76°, intensity 73, hkl 2 0 -1; 33.11°, intensity 100, hkl 1 5 0; 34.01°, intensity 71, hkl 0 4 2; 34.12°, intensity 55, hkl 1 1 2; 37.31°, intensity 59, hkl 2 4 -1; 37.44°, intensity 60, hkl 2 0 1

Atomic structure:
Unit cell a=6.211 b=15.311 c=7.814 alpha=90.00 beta=111.51 gamma=90.00
Space group C2/m (No. 12)
Unique sites:
Cs1 0.000 0.000 0.000 (multiplicity 2)
Mg1 0.000 0.500 0.500 (multiplicity 2)
Mg2 0.250 0.250 0.000 (multiplicity 4)
Hg1 0.000 0.000 0.500 (multiplicity 2)
Hg2 0.090 0.386 0.223 (multiplicity 8)
Hg3 0.159 0.177 0.339 (multiplicity 8)